Diffraction record for Nb3Bi5O15. The X-ray diffraction stick pattern is computed, not measured: it uses a DFT-relaxed cell (GGA-PBE, OQMD) and a wavelength of 1.5418 Å.
Neutral-atom scattering factors, no anomalous dispersion.

Largest 10 diffraction maxima, sorted by position, 2θ = 5–70°:
two_theta	intensity
12.40	128
28.44	1000
32.56	161
32.82	166
33.47	147
46.91	166
47.58	133
55.60	141
55.93	160
56.79	136

Atomic structure:
Lattice parameters (Å, degrees): 21.4195 5.4581 5.4996 90.00 90.00 90.00
Element x y z (fractional)
Nb: 0.0000 0.0000 0.0000
Nb: 0.0000 0.5000 0.5000
Nb: 0.3893 0.0000 0.5130
Nb: 0.3893 0.5000 0.0130
Nb: 0.6107 0.0000 0.5130
Nb: 0.6107 0.5000 0.0130
Bi: 0.1236 0.0162 0.5492
Bi: 0.1236 0.4838 0.0492
Bi: 0.2442 0.5074 0.5128
Bi: 0.2442 0.9926 0.0128
Bi: 0.5000 0.0000 0.0696
Bi: 0.5000 0.5000 0.5696
Bi: 0.7558 0.0074 0.0128
Bi: 0.7558 0.4926 0.5128
Bi: 0.8764 0.5162 0.0492
Bi: 0.8764 0.9838 0.5492
O: 0.0226 0.7439 0.2132
O: 0.0226 0.7561 0.7132
O: 0.0885 0.0982 0.9396
O: 0.0885 0.4018 0.4396
O: 0.1915 0.7484 0.2636
O: 0.1915 0.7516 0.7636
O: 0.1942 0.2496 0.2515
O: 0.1942 0.2504 0.7515
O: 0.3056 0.0038 0.5052
O: 0.3056 0.4962 0.0052
O: 0.4061 0.6924 0.6929
O: 0.4061 0.8076 0.1929
O: 0.4098 0.2039 0.7961
O: 0.4098 0.2961 0.2961
O: 0.5000 0.0000 0.4716
O: 0.5000 0.5000 0.9716
O: 0.5902 0.7039 0.2961
O: 0.5902 0.7961 0.7961
O: 0.5939 0.1924 0.1929
O: 0.5939 0.3076 0.6929
O: 0.6944 0.5038 0.0052
O: 0.6944 0.9962 0.5052
O: 0.8058 0.7504 0.2515
O: 0.8058 0.7496 0.7515
O: 0.8085 0.2484 0.7636
O: 0.8085 0.2516 0.2636
O: 0.9115 0.5982 0.4396
O: 0.9115 0.9018 0.9396
O: 0.9774 0.2439 0.7132
O: 0.9774 0.2561 0.2132

***

Diffraction record for DyEr2Cu4Sn4. The X-ray diffraction stick pattern is computed, not measured: it uses a DFT-relaxed cell (GGA-PBE, OQMD) and a wavelength of 1.5418 Å.
Neutral-atom scattering factors, no anomalous dispersion.

Largest 10 diffraction maxima, sorted by position, 2θ = 5–70°:
two_theta	intensity
33.18	282
33.34	993
34.25	1000
36.78	202
40.58	427
43.31	231
45.37	226
53.38	147
60.84	165
68.68	148

Atomic structure:
Lattice parameters (Å, degrees): 8.4061 8.4061 8.4061 149.33 131.29 58.67
Element x y z (fractional)
Dy: 0.0000 0.0000 0.0000
Er: 0.3688 0.8688 0.5000
Er: 0.6312 0.1312 0.5000
Cu: 0.0178 0.3294 0.6883
Cu: 0.3589 0.6706 0.6883
Cu: 0.6411 0.3294 0.3117
Cu: 0.9822 0.6706 0.3117
Sn: 0.2160 0.2160 0.0000
Sn: 0.2977 0.5000 0.7977
Sn: 0.7023 0.5000 0.2023
Sn: 0.7840 0.7840 0.0000

***

Diffraction record for Hf4Nb2Pb3C3. The X-ray diffraction stick pattern is computed, not measured: it uses a DFT-relaxed cell (GGA-PBE, OQMD) and a wavelength of 1.5418 Å.
Neutral-atom scattering factors, no anomalous dispersion.

Largest 10 diffraction maxima, sorted by position, 2θ = 5–70°:
two_theta	intensity
31.09	339
36.19	1000
36.20	502
36.64	307
48.79	230
55.31	306
64.83	29
65.68	265
67.90	242
68.18	307

Atomic structure:
Lattice parameters (Å, degrees): 5.7530 5.7530 15.0873 101.00 101.00 60.04
Element x y z (fractional)
Hf: 0.0292 0.1928 0.0835
Hf: 0.1370 0.3058 0.4166
Hf: 0.1928 0.0292 0.5835
Hf: 0.3058 0.1370 0.9166
Hf: 0.6942 0.8630 0.0834
Hf: 0.8072 0.9708 0.4165
Hf: 0.8630 0.6942 0.5834
Hf: 0.9708 0.8072 0.9165
Nb: 0.3563 0.5264 0.0788
Nb: 0.4736 0.6437 0.4212
Nb: 0.5264 0.3563 0.5788
Nb: 0.6437 0.4736 0.9212
Pb: 0.0898 0.9102 0.2500
Pb: 0.2576 0.4159 0.7505
Pb: 0.4159 0.2576 0.2505
Pb: 0.5841 0.7424 0.7495
Pb: 0.7424 0.5841 0.2495
Pb: 0.9102 0.0898 0.7500
C: 0.0000 0.5000 0.0000
C: 0.1664 0.6668 0.5000
C: 0.3332 0.8336 0.0000
C: 0.5000 0.0000 0.5000
C: 0.6668 0.1664 0.0000
C: 0.8336 0.3332 0.5000

***

Diffraction record for FeCu4BiPbS6. The X-ray diffraction stick pattern is computed, not measured: it uses a DFT-relaxed cell (GGA-PBE, OQMD) and a wavelength of 1.5418 Å.
Neutral-atom scattering factors, no anomalous dispersion.

Largest 10 diffraction maxima, sorted by position, 2θ = 5–70°:
two_theta	intensity
23.64	496
25.47	618
27.32	874
28.91	740
29.28	950
29.66	656
33.99	1000
41.44	679
45.71	401
46.79	702

Atomic structure:
Lattice parameters (Å, degrees): 3.8842 10.7919 12.0468 90.00 90.00 90.00
Element x y z (fractional)
Fe: 0.0000 0.2066 0.0000
Fe: 0.0000 0.7934 0.5000
Cu: 0.0000 0.0161 0.3925
Cu: 0.0000 0.9839 0.8925
Cu: 0.5000 0.1209 0.1551
Cu: 0.5000 0.2873 0.8592
Cu: 0.5000 0.4804 0.5928
Cu: 0.5000 0.5196 0.0928
Cu: 0.5000 0.7127 0.3592
Cu: 0.5000 0.8791 0.6551
Bi: 0.0000 0.3466 0.3123
Bi: 0.0000 0.6534 0.8123
Pb: 0.5000 0.1929 0.5971
Pb: 0.5000 0.8071 0.0971
S: 0.0000 0.0215 0.0863
S: 0.0000 0.1804 0.8128
S: 0.0000 0.3878 0.5265
S: 0.0000 0.6122 0.0265
S: 0.0000 0.8196 0.3128
S: 0.0000 0.9785 0.5863
S: 0.5000 0.1329 0.3479
S: 0.5000 0.3092 0.0538
S: 0.5000 0.4813 0.7817
S: 0.5000 0.5187 0.2817
S: 0.5000 0.6908 0.5538
S: 0.5000 0.8671 0.8479

***

Diffraction record for AsAu9. The X-ray diffraction stick pattern is computed, not measured: it uses a DFT-relaxed cell (GGA-PBE, OQMD) and a wavelength of 1.5418 Å.
Neutral-atom scattering factors, no anomalous dispersion.

Largest 10 diffraction maxima, sorted by position, 2θ = 5–70°:
two_theta	intensity
5.47	343
7.29	71
37.26	1000
38.35	451
40.94	66
42.89	190
44.44	449
62.00	78
63.47	241
64.66	149

Atomic structure:
Lattice parameters (Å, degrees): 2.8831 2.8831 48.4977 90.00 90.00 90.00
Element x y z (fractional)
As: 0.2500 0.2500 0.0814
As: 0.7500 0.7500 0.9186
Au: 0.2500 0.2500 0.1698
Au: 0.2500 0.2500 0.2585
Au: 0.2500 0.2500 0.3467
Au: 0.2500 0.2500 0.4344
Au: 0.2500 0.2500 0.5219
Au: 0.2500 0.2500 0.6094
Au: 0.2500 0.2500 0.6974
Au: 0.2500 0.2500 0.7858
Au: 0.2500 0.2500 0.8756
Au: 0.7500 0.7500 0.1244
Au: 0.7500 0.7500 0.2142
Au: 0.7500 0.7500 0.3026
Au: 0.7500 0.7500 0.3906
Au: 0.7500 0.7500 0.4781
Au: 0.7500 0.7500 0.5656
Au: 0.7500 0.7500 0.6533
Au: 0.7500 0.7500 0.7415
Au: 0.7500 0.7500 0.8302

***

Please write out number 4 again, unchanged.
Diffraction record for FeCu4BiPbS6. The X-ray diffraction stick pattern is computed, not measured: it uses a DFT-relaxed cell (GGA-PBE, OQMD) and a wavelength of 1.5418 Å.
Neutral-atom scattering factors, no anomalous dispersion.

Largest 10 diffraction maxima, sorted by position, 2θ = 5–70°:
two_theta	intensity
23.64	496
25.47	618
27.32	874
28.91	740
29.28	950
29.66	656
33.99	1000
41.44	679
45.71	401
46.79	702

Atomic structure:
Lattice parameters (Å, degrees): 3.8842 10.7919 12.0468 90.00 90.00 90.00
Element x y z (fractional)
Fe: 0.0000 0.2066 0.0000
Fe: 0.0000 0.7934 0.5000
Cu: 0.0000 0.0161 0.3925
Cu: 0.0000 0.9839 0.8925
Cu: 0.5000 0.1209 0.1551
Cu: 0.5000 0.2873 0.8592
Cu: 0.5000 0.4804 0.5928
Cu: 0.5000 0.5196 0.0928
Cu: 0.5000 0.7127 0.3592
Cu: 0.5000 0.8791 0.6551
Bi: 0.0000 0.3466 0.3123
Bi: 0.0000 0.6534 0.8123
Pb: 0.5000 0.1929 0.5971
Pb: 0.5000 0.8071 0.0971
S: 0.0000 0.0215 0.0863
S: 0.0000 0.1804 0.8128
S: 0.0000 0.3878 0.5265
S: 0.0000 0.6122 0.0265
S: 0.0000 0.8196 0.3128
S: 0.0000 0.9785 0.5863
S: 0.5000 0.1329 0.3479
S: 0.5000 0.3092 0.0538
S: 0.5000 0.4813 0.7817
S: 0.5000 0.5187 0.2817
S: 0.5000 0.6908 0.5538
S: 0.5000 0.8671 0.8479